[1]
Structure and calculated X-ray powder pattern of K4PtS4 (a structure optimized by DFT (GGA-PBE); CuKα).
Kinematic intensities with the Lorentz-polarization factor, no thermal factor.

Cell and atoms:
abc: 6.329 6.329 6.959
angles: 97.71 97.71 73.31
Element x y z (fractional)
K (0.136, 0.136, 0.352)
K (0.327, 0.327, 0.877)
K (0.673, 0.673, 0.123)
K (0.864, 0.864, 0.648)
Pt (0.500, 0.500, 0.500)
S (0.185, 0.618, 0.284)
S (0.382, 0.815, 0.716)
S (0.618, 0.185, 0.284)
S (0.815, 0.382, 0.716)

Peak list (8 most intense, 2θ from 10° to 90°, by angle)
- 12.90 deg, rel. 75
- 14.69 deg, rel. 100
- 17.72 deg, rel. 26
- 18.58 deg, rel. 33
- 20.13 deg, rel. 37
- 28.61 deg, rel. 56
- 30.16 deg, rel. 59
- 33.65 deg, rel. 64


[2]
Structure and calculated X-ray powder pattern of K5Sb2Pt (a structure optimized by DFT (GGA-PBE); CuKα).
Kinematic intensities with the Lorentz-polarization factor, no thermal factor.

Cell and atoms:
abc: 10.199 10.199 10.199
angles: 33.81 33.81 33.81
Element x y z (fractional)
K (0.000, 0.000, 0.000)
K (0.138, 0.138, 0.138)
K (0.281, 0.281, 0.281)
K (0.719, 0.719, 0.719)
K (0.862, 0.862, 0.862)
Sb (0.410, 0.410, 0.410)
Sb (0.590, 0.590, 0.590)
Pt (0.500, 0.500, 0.500)

Peak list (8 most intense, 2θ from 10° to 90°, by angle)
- 17.54 deg, rel. 89
- 18.34 deg, rel. 48
- 27.81 deg, rel. 20
- 30.14 deg, rel. 100
- 35.72 deg, rel. 24
- 38.57 deg, rel. 20
- 41.50 deg, rel. 23
- 53.53 deg, rel. 19


[3]
Structure and calculated X-ray powder pattern of K4PtSe4 (a structure optimized by DFT (GGA-PBE); CuKα).
Kinematic intensities with the Lorentz-polarization factor, no thermal factor.

Cell and atoms:
abc: 6.336 6.336 8.049
angles: 96.64 96.64 60.09
Element x y z (fractional)
K (0.149, 0.149, 0.118)
K (0.340, 0.340, 0.604)
K (0.660, 0.660, 0.396)
K (0.851, 0.851, 0.882)
Pt (0.000, 0.000, 0.500)
Se (0.146, 0.669, 0.269)
Se (0.331, 0.854, 0.731)
Se (0.669, 0.146, 0.269)
Se (0.854, 0.331, 0.731)

Peak list (8 most intense, 2θ from 10° to 90°, by angle)
- 11.09 deg, rel. 100
- 16.17 deg, rel. 74
- 16.31 deg, rel. 52
- 18.48 deg, rel. 90
- 26.74 deg, rel. 45
- 29.28 deg, rel. 41
- 35.35 deg, rel. 73
- 36.18 deg, rel. 62


[4]
Structure and calculated X-ray powder pattern of K2PtSe3 (a structure optimized by DFT (GGA-PBE); CuKα).
Kinematic intensities with the Lorentz-polarization factor, no thermal factor.

Cell and atoms:
abc: 6.465 6.621 9.420
angles: 104.58 103.59 106.10
Element x y z (fractional)
K (0.138, 0.216, 0.391)
K (0.355, 0.623, 0.148)
K (0.645, 0.377, 0.852)
K (0.862, 0.784, 0.609)
Pt (0.409, 0.790, 0.806)
Pt (0.591, 0.210, 0.194)
Se (0.106, 0.437, 0.737)
Se (0.229, 0.994, 0.984)
Se (0.371, 0.860, 0.559)
Se (0.629, 0.140, 0.441)
Se (0.771, 0.006, 0.016)
Se (0.894, 0.563, 0.263)

Peak list (8 most intense, 2θ from 10° to 90°, by angle)
- 14.87 deg, rel. 100
- 15.10 deg, rel. 42
- 15.23 deg, rel. 55
- 16.96 deg, rel. 79
- 19.87 deg, rel. 45
- 20.93 deg, rel. 42
- 35.95 deg, rel. 55
- 38.71 deg, rel. 46


[5]
Structure and calculated X-ray powder pattern of K2TePtSe (a structure optimized by DFT (GGA-PBE); CuKα).
Kinematic intensities with the Lorentz-polarization factor, no thermal factor.

Cell and atoms:
abc: 3.917 10.200 7.708
angles: 90.00 90.00 90.00
Element x y z (fractional)
K (0.000, 0.203, 0.000)
K (0.000, 0.797, 0.000)
K (0.500, 0.297, 0.500)
K (0.500, 0.703, 0.500)
Te (0.000, 0.500, 0.209)
Te (0.500, 0.000, 0.709)
Pt (0.000, 0.000, 0.478)
Pt (0.500, 0.500, 0.978)
Se (0.000, 0.500, 0.768)
Se (0.500, 0.000, 0.268)

Peak list (8 most intense, 2θ from 10° to 90°, by angle)
- 14.40 deg, rel. 99
- 17.39 deg, rel. 82
- 28.70 deg, rel. 41
- 31.04 deg, rel. 39
- 33.79 deg, rel. 100
- 42.29 deg, rel. 34
- 45.83 deg, rel. 33
- 56.16 deg, rel. 29


[6]
Structure and calculated X-ray powder pattern of KSrSn4Pt2 (a structure optimized by DFT (GGA-PBE); CuKα).
Kinematic intensities with the Lorentz-polarization factor, no thermal factor.

Cell and atoms:
abc: 7.889 4.386 12.277
angles: 90.00 90.00 90.00
Element x y z (fractional)
K (0.000, 0.000, 0.000)
K (0.000, 0.500, 0.500)
Sr (0.500, 0.000, 0.104)
Sr (0.500, 0.500, 0.604)
Sn (0.200, 0.000, 0.710)
Sn (0.200, 0.500, 0.210)
Sn (0.301, 0.000, 0.394)
Sn (0.301, 0.500, 0.894)
Sn (0.699, 0.000, 0.394)
Sn (0.699, 0.500, 0.894)
Sn (0.800, 0.000, 0.710)
Sn (0.800, 0.500, 0.210)
Pt (0.000, 0.000, 0.272)
Pt (0.000, 0.500, 0.772)
Pt (0.500, 0.000, 0.829)
Pt (0.500, 0.500, 0.329)

Peak list (8 most intense, 2θ from 10° to 90°, by angle)
- 14.43 deg, rel. 100
- 31.32 deg, rel. 89
- 31.99 deg, rel. 64
- 37.13 deg, rel. 44
- 37.74 deg, rel. 51
- 40.67 deg, rel. 70
- 41.16 deg, rel. 38
- 45.98 deg, rel. 27


[7]
Structure and calculated X-ray powder pattern of KTl2Pt2 (a structure optimized by DFT (GGA-PBE); CuKα).
Kinematic intensities with the Lorentz-polarization factor, no thermal factor.

Cell and atoms:
abc: 4.844 4.844 11.206
angles: 90.00 90.00 90.00
Element x y z (fractional)
K (0.000, 0.000, 0.000)
K (0.500, 0.500, 0.500)
Tl (0.000, 0.500, 0.250)
Tl (0.000, 0.500, 0.750)
Tl (0.500, 0.000, 0.250)
Tl (0.500, 0.000, 0.750)
Pt (0.000, 0.000, 0.384)
Pt (0.000, 0.000, 0.616)
Pt (0.500, 0.500, 0.116)
Pt (0.500, 0.500, 0.884)

Peak list (8 most intense, 2θ from 10° to 90°, by angle)
- 15.82 deg, rel. 50
- 19.97 deg, rel. 71
- 30.21 deg, rel. 30
- 30.59 deg, rel. 99
- 37.12 deg, rel. 86
- 41.65 deg, rel. 100
- 62.87 deg, rel. 39
- 70.00 deg, rel. 45


[8]
Structure and calculated X-ray powder pattern of K3Tl4Pt4 (a structure optimized by DFT (GGA-PBE); CuKα).
Kinematic intensities with the Lorentz-polarization factor, no thermal factor.

Cell and atoms:
abc: 7.364 7.364 7.364
angles: 109.47 109.47 109.47
Element x y z (fractional)
K (0.000, 0.500, 0.500)
K (0.500, 0.000, 0.500)
K (0.500, 0.500, 0.000)
Tl (0.000, 0.000, 0.401)
Tl (0.000, 0.401, 0.000)
Tl (0.401, 0.000, 0.000)
Tl (0.599, 0.599, 0.599)
Pt (0.000, 0.000, 0.764)
Pt (0.000, 0.764, 0.000)
Pt (0.236, 0.236, 0.236)
Pt (0.764, 0.000, 0.000)

Peak list (8 most intense, 2θ from 10° to 90°, by angle)
- 14.73 deg, rel. 100
- 20.89 deg, rel. 23
- 29.71 deg, rel. 41
- 33.32 deg, rel. 48
- 39.66 deg, rel. 82
- 45.24 deg, rel. 64
- 67.95 deg, rel. 34
- 83.55 deg, rel. 22